(1)
Structure and computed XRD peak list of NdZnGe (a GGA-PBE-relaxed structure; copper Kα).
Neutral-atom scattering factors, no anomalous dispersion.

Main lines, by intensity (15 to 90 degrees two-theta):
| hkl | 2θ (°) | d_spacing | I_rel |
| --- | --- | --- | --- |
| 1 0 4 | 32.30 | 2.772 | 100 |
| 1 1 0 | 42.15 | 2.144 | 44 |
| 1 1 8 | 62.14 | 1.494 | 24 |
| 2 0 4 | 54.08 | 1.696 | 23 |
| 2 1 4 | 70.85 | 1.330 | 20 |
| 0 0 8 | 43.45 | 2.083 | 12 |
| 1 0 0 | 23.97 | 3.713 | 11 |
| 1 0 12 | 72.71 | 1.301 | 8 |
| 3 0 0 | 77.05 | 1.238 | 7 |
| 2 0 12 | 87.79 | 1.112 | 5 |

Atomic structure:
```
data_NdZnGe
_symmetry_space_group_name_H-M 'P 63/m m c'
_symmetry_Int_Tables_number 194
_symmetry_space_group_name_Hall '-P 6c 2c'
_cell_length_a 4.2875
_cell_length_b 4.2875
_cell_length_c 16.6619
_cell_angle_alpha 90.00
_cell_angle_beta 90.00
_cell_angle_gamma 120.00
loop_
_atom_site_label
_atom_site_type_symbol
_atom_site_fract_x
_atom_site_fract_y
_atom_site_fract_z
Nd1 Nd 0.0000 0.0000 0.0000
Nd2 Nd 0.0000 0.0000 0.2500
Zn1 Zn 0.3333 0.6667 0.1382
Ge1 Ge 0.3333 0.6667 0.6177
```

=====

(2)
Structure and computed XRD peak list of Ni4Ge (a GGA-PBE-relaxed structure; copper Kα).
Neutral-atom scattering factors, no anomalous dispersion.

Main lines, by intensity (15 to 90 degrees two-theta):
| hkl | 2θ (°) | d_spacing | I_rel |
| --- | --- | --- | --- |
| 0 1 5 | 42.53 | 2.126 | 100 |
| 1 0 10 | 50.84 | 1.796 | 58 |
| 0 0 15 | 46.88 | 1.938 | 25 |
| 1 1 0 | 71.57 | 1.318 | 19 |
| 0 1 20 | 77.90 | 1.226 | 15 |
| 2 0 5 | 86.96 | 1.120 | 11 |

Atomic structure:
```
data_Ni4Ge
_symmetry_space_group_name_H-M 'R -3 m'
_symmetry_Int_Tables_number 166
_symmetry_space_group_name_Hall '-R 3 2"'
_cell_length_a 2.6369
_cell_length_b 2.6369
_cell_length_c 29.0730
_cell_angle_alpha 90.00
_cell_angle_beta 90.00
_cell_angle_gamma 120.00
loop_
_atom_site_label
_atom_site_type_symbol
_atom_site_fract_x
_atom_site_fract_y
_atom_site_fract_z
Ni1 Ni 0.0000 0.0000 0.1004
Ni2 Ni 0.0000 0.0000 0.3004
Ge1 Ge 0.0000 0.0000 0.5000
```

=====

(3)
Structure and computed XRD peak list of Ni2Ge (a GGA-PBE-relaxed structure; copper Kα).
Neutral-atom scattering factors, no anomalous dispersion.

Main lines, by intensity (15 to 90 degrees two-theta):
| hkl | 2θ (°) | d_spacing | I_rel |
| --- | --- | --- | --- |
| 1 1 0 | 45.24 | 2.004 | 100 |
| 1 0 2 | 44.10 | 2.053 | 94 |
| 2 0 2 | 65.02 | 1.434 | 27 |
| 2 1 2 | 82.74 | 1.166 | 27 |
| 3 0 0 | 83.54 | 1.157 | 15 |
| 1 1 2 | 58.61 | 1.575 | 12 |
| 0 0 2 | 35.24 | 2.547 | 9 |
| 0 0 4 | 74.52 | 1.273 | 7 |
| 1 0 1 | 31.18 | 2.869 | 1 |

Atomic structure:
```
data_Ni2Ge
_symmetry_space_group_name_H-M 'P 63/m m c'
_symmetry_Int_Tables_number 194
_symmetry_space_group_name_Hall '-P 6c 2c'
_cell_length_a 4.0088
_cell_length_b 4.0088
_cell_length_c 5.0932
_cell_angle_alpha 90.00
_cell_angle_beta 90.00
_cell_angle_gamma 120.00
loop_
_atom_site_label
_atom_site_type_symbol
_atom_site_fract_x
_atom_site_fract_y
_atom_site_fract_z
Ni1 Ni 0.0000 0.0000 0.0000
Ni2 Ni 0.3333 0.6667 0.2500
Ge1 Ge 0.3333 0.6667 0.7500
```

=====

(4)
Structure and computed XRD peak list of Ni19Ge12 (a GGA-PBE-relaxed structure; copper Kα).
Neutral-atom scattering factors, no anomalous dispersion.

Main lines, by intensity (15 to 90 degrees two-theta):
| hkl | 2θ (°) | d_spacing | I_rel |
| --- | --- | --- | --- |
| 3 3 0 | 46.84 | 1.940 | 100 |
| 0 2 4 | 45.03 | 2.013 | 76 |
| 3 1 -4 | 44.99 | 2.015 | 39 |
| 4 0 1 | 32.03 | 2.794 | 35 |
| 0 4 4 | 67.02 | 1.396 | 19 |
| 3 5 -4 | 85.71 | 1.133 | 18 |
| 6 2 -4 | 66.92 | 1.398 | 10 |
| 5 1 1 | 42.06 | 2.148 | 9 |
| 0 0 8 | 75.59 | 1.258 | 8 |
| 9 3 0 | 86.95 | 1.120 | 8 |

Atomic structure:
```
data_Ni19Ge12
_symmetry_space_group_name_H-M 'C 1 2 1'
_symmetry_Int_Tables_number 5
_cell_length_a 11.6507
_cell_length_b 6.7117
_cell_length_c 10.0632
_cell_angle_alpha 90.00
_cell_angle_beta 90.07
_cell_angle_gamma 90.00
loop_
_symmetry_equiv_pos_as_xyz
'x,y,z'
'-x,y,-z'
'x+1/2,y+1/2,z'
'-x+1/2,y+1/2,-z'
loop_
_atom_site_label
_atom_site_type_symbol
_atom_site_fract_x
_atom_site_fract_y
_atom_site_fract_z
Ni1 Ni 0.0000 0.0000 0.0000
Ni2 Ni 0.0020 0.3321 0.2456
Ni3 Ni 0.0057 0.6742 0.6258
Ni4 Ni 0.0116 0.6635 0.8773
Ni5 Ni 0.1594 0.1545 0.6258
Ni6 Ni 0.1641 0.1621 0.3742
Ni7 Ni 0.1656 0.8263 0.2477
Ni8 Ni 0.1681 0.4991 0.4964
Ni9 Ni 0.1690 0.1581 0.8770
Ni10 Ni 0.1770 0.1706 0.1238
Ge1 Ge 0.0000 0.3029 0.5000
Ge2 Ge 0.0000 0.3514 0.0000
Ge3 Ge 0.0154 0.9814 0.7525
Ge4 Ge 0.1500 0.8472 0.4977
Ge5 Ge 0.1676 0.5247 0.7480
Ge6 Ge 0.1758 0.8241 0.0020
Ge7 Ge 0.1858 0.4785 0.2477
```

=====

(5)
Structure and computed XRD peak list of Ni3Ge (a GGA-PBE-relaxed structure; copper Kα).
Neutral-atom scattering factors, no anomalous dispersion.

Main lines, by intensity (15 to 90 degrees two-theta):
| hkl | 2θ (°) | d_spacing | I_rel |
| --- | --- | --- | --- |
| 1 1 1 | 43.81 | 2.066 | 100 |
| 2 0 0 | 51.04 | 1.790 | 47 |
| 2 2 0 | 75.07 | 1.265 | 28 |

Atomic structure:
```
data_Ni3Ge
_symmetry_space_group_name_H-M 'P m -3 m'
_symmetry_Int_Tables_number 221
_symmetry_space_group_name_Hall '-P 4 2 3'
_cell_length_a 3.5791
_cell_length_b 3.5791
_cell_length_c 3.5791
_cell_angle_alpha 90.00
_cell_angle_beta 90.00
_cell_angle_gamma 90.00
loop_
_atom_site_label
_atom_site_type_symbol
_atom_site_fract_x
_atom_site_fract_y
_atom_site_fract_z
Ni1 Ni 0.0000 0.0000 0.5000
Ge1 Ge 0.5000 0.5000 0.5000
```

=====

(6)
Structure and computed XRD peak list of Ni2Ge (a GGA-PBE-relaxed structure; copper Kα).
Neutral-atom scattering factors, no anomalous dispersion.

Main lines, by intensity (15 to 90 degrees two-theta):
| hkl | 2θ (°) | d_spacing | I_rel |
| --- | --- | --- | --- |
| 0 1 3 | 44.18 | 2.050 | 100 |
| 2 1 1 | 44.37 | 2.042 | 83 |
| 2 1 0 | 42.50 | 2.127 | 61 |
| 0 2 0 | 47.36 | 1.920 | 60 |
| 1 1 3 | 47.81 | 1.902 | 32 |
| 2 0 2 | 43.28 | 2.091 | 27 |
| 2 0 3 | 52.00 | 1.759 | 23 |
| 1 0 3 | 41.22 | 2.190 | 19 |
| 2 3 1 | 86.00 | 1.130 | 16 |
| 2 2 3 | 72.96 | 1.297 | 16 |

Atomic structure:
```
data_Ni2Ge
_symmetry_space_group_name_H-M 'P n m a'
_symmetry_Int_Tables_number 62
_cell_length_a 5.1100
_cell_length_b 3.8391
_cell_length_c 7.2728
_cell_angle_alpha 90.00
_cell_angle_beta 90.00
_cell_angle_gamma 90.00
loop_
_symmetry_equiv_pos_as_xyz
'x,y,z'
'-x,-y,-z'
'-x+1/2,-y,z+1/2'
'x+1/2,y,-z+1/2'
'x+1/2,-y+1/2,-z+1/2'
'-x+1/2,y+1/2,z+1/2'
'-x,y+1/2,-z'
'x,-y+1/2,z'
loop_
_atom_site_label
_atom_site_type_symbol
_atom_site_fract_x
_atom_site_fract_y
_atom_site_fract_z
Ni1 Ni 0.0444 0.2500 0.2089
Ni2 Ni 0.1728 0.2500 0.5601
Ge1 Ge 0.2097 0.2500 0.8870
```

=====

(7)
Structure and computed XRD peak list of NiGe2 (a GGA-PBE-relaxed structure; copper Kα).
Neutral-atom scattering factors, no anomalous dispersion.

Main lines, by intensity (15 to 90 degrees two-theta):
| hkl | 2θ (°) | d_spacing | I_rel |
| --- | --- | --- | --- |
| 4 0 2 | 45.65 | 1.987 | 100 |
| 4 0 0 | 32.88 | 2.724 | 51 |
| 0 2 2 | 44.15 | 2.052 | 45 |
| 1 1 3 | 50.43 | 1.810 | 43 |
| 1 1 2 | 35.57 | 2.524 | 24 |
| 2 2 0 | 35.03 | 2.562 | 23 |
| 5 1 1 | 47.17 | 1.927 | 21 |
| 2 2 1 | 38.41 | 2.344 | 19 |
| 2 4 0 | 66.72 | 1.402 | 17 |
| 2 4 2 | 75.28 | 1.262 | 17 |

Atomic structure:
```
data_NiGe2
_symmetry_space_group_name_H-M 'C m c e'
_symmetry_Int_Tables_number 64
_symmetry_space_group_name_Hall '-C 2ac 2'
_cell_length_a 10.9110
_cell_length_b 5.8043
_cell_length_c 5.8009
_cell_angle_alpha 90.00
_cell_angle_beta 90.00
_cell_angle_gamma 90.00
loop_
_atom_site_label
_atom_site_type_symbol
_atom_site_fract_x
_atom_site_fract_y
_atom_site_fract_z
Ni1 Ni 0.1155 0.0000 0.0000
Ge1 Ge 0.0000 0.1543 0.3433
Ge2 Ge 0.2500 0.2477 0.2500
```

=====

(8)
Structure and computed XRD peak list of PaNi2Ge (a GGA-PBE-relaxed structure; copper Kα).
Neutral-atom scattering factors, no anomalous dispersion.

Main lines, by intensity (15 to 90 degrees two-theta):
| hkl | 2θ (°) | d_spacing | I_rel |
| --- | --- | --- | --- |
| 2 2 0 | 39.99 | 2.255 | 100 |
| 4 2 2 | 72.63 | 1.302 | 34 |
| 1 1 1 | 24.17 | 3.682 | 29 |
| 2 0 0 | 27.98 | 3.189 | 20 |
| 4 0 0 | 57.83 | 1.594 | 17 |
| 3 1 1 | 47.27 | 1.923 | 16 |
| 4 4 0 | 86.29 | 1.127 | 11 |
| 4 2 0 | 65.45 | 1.426 | 8 |
| 3 3 1 | 63.60 | 1.463 | 7 |
| 2 2 2 | 49.51 | 1.841 | 6 |

Atomic structure:
```
data_PaNi2Ge
_symmetry_space_group_name_H-M 'F m -3 m'
_symmetry_Int_Tables_number 225
_symmetry_space_group_name_Hall '-F 4 2 3'
_cell_length_a 6.3772
_cell_length_b 6.3772
_cell_length_c 6.3772
_cell_angle_alpha 90.00
_cell_angle_beta 90.00
_cell_angle_gamma 90.00
loop_
_atom_site_label
_atom_site_type_symbol
_atom_site_fract_x
_atom_site_fract_y
_atom_site_fract_z
Pa1 Pa 0.0000 0.0000 0.0000
Ni1 Ni 0.2500 0.2500 0.2500
Ge1 Ge 0.0000 0.0000 0.5000
```

=====

(9)
Structure and computed XRD peak list of NiGe2Pd (a GGA-PBE-relaxed structure; copper Kα).
Neutral-atom scattering factors, no anomalous dispersion.

Main lines, by intensity (15 to 90 degrees two-theta):
| hkl | 2θ (°) | d_spacing | I_rel |
| --- | --- | --- | --- |
| 1 1 2 | 43.79 | 2.067 | 100 |
| 1 2 1 | 42.31 | 2.136 | 72 |
| 1 1 1 | 33.28 | 2.692 | 69 |
| 2 0 0 | 51.32 | 1.780 | 62 |
| 0 2 1 | 33.56 | 2.671 | 38 |
| 0 2 2 | 44.01 | 2.058 | 32 |
| 1 3 0 | 51.92 | 1.761 | 28 |
| 1 1 0 | 29.07 | 3.071 | 24 |
| 0 3 1 | 47.73 | 1.905 | 24 |
| 1 4 3 | 87.17 | 1.118 | 22 |

Atomic structure:
```
data_NiGe2Pd
_symmetry_space_group_name_H-M 'P m c 21'
_symmetry_Int_Tables_number 26
_cell_length_a 3.5587
_cell_length_b 6.0800
_cell_length_c 5.5904
_cell_angle_alpha 90.00
_cell_angle_beta 90.00
_cell_angle_gamma 90.00
loop_
_symmetry_equiv_pos_as_xyz
'x,y,z'
'-x,-y,z+1/2'
'-x,y,z'
'x,-y,z+1/2'
loop_
_atom_site_label
_atom_site_type_symbol
_atom_site_fract_x
_atom_site_fract_y
_atom_site_fract_z
Ni1 Ni 0.0000 0.0550 0.0000
Ge1 Ge 0.0000 0.3143 0.3226
Ge2 Ge 0.5000 0.1444 0.6956
Pd1 Pd 0.5000 0.4333 0.0081
```

=====

(10)
Structure and computed XRD peak list of Pr2NiGe3 (a GGA-PBE-relaxed structure; copper Kα).
Neutral-atom scattering factors, no anomalous dispersion.

Main lines, by intensity (15 to 90 degrees two-theta):
| hkl | 2θ (°) | d_spacing | I_rel |
| --- | --- | --- | --- |
| 1 0 2 | 32.38 | 2.765 | 100 |
| 1 1 0 | 42.51 | 2.126 | 44 |
| 1 1 4 | 62.25 | 1.491 | 24 |
| 2 0 2 | 54.43 | 1.686 | 23 |
| 2 1 2 | 71.41 | 1.321 | 20 |
| 0 0 4 | 43.25 | 2.092 | 12 |
| 1 0 0 | 24.16 | 3.683 | 11 |
| 3 0 0 | 77.79 | 1.228 | 7 |
| 1 0 6 | 72.46 | 1.304 | 7 |
| 2 0 6 | 87.80 | 1.112 | 4 |

Atomic structure:
```
data_Pr2NiGe3
_symmetry_space_group_name_H-M 'P -6 m 2'
_symmetry_Int_Tables_number 187
_symmetry_space_group_name_Hall 'P -6 2'
_cell_length_a 4.2530
_cell_length_b 4.2530
_cell_length_c 8.3682
_cell_angle_alpha 90.00
_cell_angle_beta 90.00
_cell_angle_gamma 120.00
loop_
_atom_site_label
_atom_site_type_symbol
_atom_site_fract_x
_atom_site_fract_y
_atom_site_fract_z
Pr1 Pr 0.0000 0.0000 0.2298
Ni1 Ni 0.3333 0.6667 0.0000
Ge1 Ge 0.3333 0.6667 0.5000
Ge2 Ge 0.6667 0.3333 0.0000
Ge3 Ge 0.6667 0.3333 0.5000
```

=====

(11)
Structure and computed XRD peak list of Pr2NiGe4 (a GGA-PBE-relaxed structure; copper Kα).
Neutral-atom scattering factors, no anomalous dispersion.

Main lines, by intensity (15 to 90 degrees two-theta):
| hkl | 2θ (°) | d_spacing | I_rel |
| --- | --- | --- | --- |
| 1 1 3 | 34.36 | 2.610 | 100 |
| 0 1 5 | 34.12 | 2.628 | 27 |
| 1 0 6 | 38.78 | 2.322 | 24 |
| 0 2 0 | 43.05 | 2.101 | 24 |
| 2 0 0 | 43.77 | 2.068 | 21 |
| 2 2 0 | 63.07 | 1.474 | 15 |
| 1 2 6 | 59.32 | 1.558 | 14 |
| 1 0 2 | 23.97 | 3.713 | 12 |
| 2 1 5 | 56.63 | 1.625 | 12 |
| 0 0 6 | 31.89 | 2.806 | 11 |

Atomic structure:
```
data_Pr2NiGe4
_symmetry_space_group_name_H-M 'A m m 2'
_symmetry_Int_Tables_number 38
_cell_length_a 4.1366
_cell_length_b 4.2014
_cell_length_c 16.8379
_cell_angle_alpha 90.00
_cell_angle_beta 90.00
_cell_angle_gamma 90.00
loop_
_symmetry_equiv_pos_as_xyz
'x,y,z'
'-x,-y,z'
'-x,y,z'
'x,-y,z'
'x,y+1/2,z+1/2'
'-x,-y+1/2,z+1/2'
'-x,y+1/2,z+1/2'
'x,-y+1/2,z+1/2'
loop_
_atom_site_label
_atom_site_type_symbol
_atom_site_fract_x
_atom_site_fract_y
_atom_site_fract_z
Pr1 Pr 0.0000 0.0000 0.0000
Pr2 Pr 0.5000 0.0000 0.2133
Ni1 Ni 0.0000 0.0000 0.7944
Ge1 Ge 0.0000 0.0000 0.3637
Ge2 Ge 0.0000 0.0000 0.6544
Ge3 Ge 0.5000 0.0000 0.5633
Ge4 Ge 0.5000 0.0000 0.8618
```

=====

(12)
Structure and computed XRD peak list of PrNi9Ge4 (a GGA-PBE-relaxed structure; copper Kα).
Neutral-atom scattering factors, no anomalous dispersion.

Main lines, by intensity (15 to 90 degrees two-theta):
| hkl | 2θ (°) | d_spacing | I_rel |
| --- | --- | --- | --- |
| 3 1 2 | 38.88 | 2.316 | 100 |
| 2 1 5 | 46.27 | 1.962 | 73 |
| 4 1 1 | 47.68 | 1.907 | 51 |
| 2 0 4 | 38.05 | 2.365 | 50 |
| 3 2 3 | 47.21 | 1.925 | 45 |
| 3 1 0 | 35.62 | 2.520 | 33 |
| 1 1 4 | 34.42 | 2.605 | 28 |
| 2 2 2 | 35.32 | 2.541 | 23 |
| 4 0 4 | 55.74 | 1.649 | 19 |
| 6 2 4 | 83.46 | 1.158 | 18 |

Atomic structure:
```
data_PrNi9Ge4
_symmetry_space_group_name_H-M 'I 4/m c m'
_symmetry_Int_Tables_number 140
_symmetry_space_group_name_Hall '-I 4 2c'
_cell_length_a 7.9703
_cell_length_b 7.9703
_cell_length_c 11.7529
_cell_angle_alpha 90.00
_cell_angle_beta 90.00
_cell_angle_gamma 90.00
loop_
_atom_site_label
_atom_site_type_symbol
_atom_site_fract_x
_atom_site_fract_y
_atom_site_fract_z
Pr1 Pr 0.0000 0.0000 0.2500
Ni1 Ni 0.0000 0.5000 0.0000
Ni2 Ni 0.0675 0.2034 0.0000
Ni3 Ni 0.1247 0.3753 0.1812
Ge1 Ge 0.1735 0.3265 0.3778
```

=====

(13)
Structure and computed XRD peak list of PrNiGe3 (a GGA-PBE-relaxed structure; copper Kα).
Neutral-atom scattering factors, no anomalous dispersion.

Main lines, by intensity (15 to 90 degrees two-theta):
| hkl | 2θ (°) | d_spacing | I_rel |
| --- | --- | --- | --- |
| 1 3 1 | 32.61 | 2.746 | 100 |
| 0 0 2 | 43.06 | 2.101 | 23 |
| 2 0 0 | 43.34 | 2.088 | 23 |
| 0 6 1 | 32.43 | 2.761 | 22 |
| 1 9 0 | 42.91 | 2.108 | 19 |
| 2 0 2 | 62.75 | 1.481 | 15 |
| 1 9 2 | 62.41 | 1.488 | 12 |
| 1 5 1 | 36.59 | 2.456 | 10 |
| 2 6 1 | 55.16 | 1.665 | 10 |
| 1 3 3 | 72.32 | 1.307 | 9 |

Atomic structure:
```
data_PrNiGe3
_symmetry_space_group_name_H-M 'C m m m'
_symmetry_Int_Tables_number 65
_symmetry_space_group_name_Hall '-C 2 2'
_cell_length_a 4.1753
_cell_length_b 21.9770
_cell_length_c 4.2015
_cell_angle_alpha 90.00
_cell_angle_beta 90.00
_cell_angle_gamma 90.00
loop_
_atom_site_label
_atom_site_type_symbol
_atom_site_fract_x
_atom_site_fract_y
_atom_site_fract_z
Pr1 Pr 0.0000 0.1687 0.0000
Ni1 Ni 0.0000 0.3915 0.5000
Ge1 Ge 0.0000 0.0567 0.5000
Ge2 Ge 0.0000 0.2841 0.5000
Ge3 Ge 0.0000 0.4433 0.0000
```